[1]
Starting from the GGA-PBE geometry in Alexandria, the X-ray powder pattern of NaH was computed for a wavelength of 1.5418 Å.
Intensities are scaled so that the largest is 1000.

Top 10 peaks for 15° ≤ 2θ ≤ 90°, low angle first:
17.9 deg, rel. 440
25.4 deg, rel. 278
31.2 deg, rel. 1000
40.7 deg, rel. 358
44.8 deg, rel. 134
48.6 deg, rel. 90
55.6 deg, rel. 403
65.2 deg, rel. 106
74.0 deg, rel. 151
82.5 deg, rel. 72

Structural model:
Cell: 7.0126 7.0126 7.0126 Å, 90.00 90.00 90.00°
Fractional positions:
Na: 0.1637 0.1637 0.8363
Na: 0.1637 0.8363 0.1637
Na: 0.3363 0.3363 0.3363
Na: 0.3363 0.6637 0.6637
Na: 0.6637 0.3363 0.6637
Na: 0.6637 0.6637 0.3363
Na: 0.8363 0.1637 0.1637
Na: 0.8363 0.8363 0.8363
H: 0.1612 0.1612 0.1612
H: 0.1612 0.8388 0.8388
H: 0.3388 0.3388 0.6612
H: 0.3388 0.6612 0.3388
H: 0.6612 0.3388 0.3388
H: 0.6612 0.6612 0.6612
H: 0.8388 0.1612 0.8388
H: 0.8388 0.8388 0.1612



[2]
Starting from the GGA-PBE geometry in Alexandria, the X-ray powder pattern of Ac6HIr4 was computed for a wavelength of 1.5418 Å.
Intensities are scaled so that the largest is 1000.

Top 10 peaks for 15° ≤ 2θ ≤ 90°, low angle first:
23.5 deg, rel. 346
29.4 deg, rel. 369
30.1 deg, rel. 866
30.5 deg, rel. 801
31.7 deg, rel. 708
31.9 deg, rel. 644
36.4 deg, rel. 671
36.6 deg, rel. 695
37.4 deg, rel. 432
43.1 deg, rel. 1000

Structural model:
Cell: 5.9428 5.9428 9.7139 Å, 107.51 107.51 89.89°
Fractional positions:
Ac: 0.0000 0.0000 0.0000
Ac: 0.3588 0.8817 0.7123
Ac: 0.4445 0.9438 0.3562
Ac: 0.5232 0.5232 0.9995
Ac: 0.8817 0.3588 0.7123
Ac: 0.9438 0.4445 0.3562
H: 0.9428 0.9428 0.3570
Ir: 0.0657 0.5361 0.0778
Ir: 0.3460 0.3460 0.6337
Ir: 0.5361 0.0657 0.0778
Ir: 0.8178 0.8178 0.6345



[3]
Starting from the GGA-PBE geometry in Alexandria, the X-ray powder pattern of Rb5Bi2O6 was computed for a wavelength of 1.5418 Å.
Intensities are scaled so that the largest is 1000.

Top 10 peaks for 15° ≤ 2θ ≤ 90°, low angle first:
15.2 deg, rel. 192
24.9 deg, rel. 442
25.4 deg, rel. 434
26.9 deg, rel. 450
28.7 deg, rel. 310
28.8 deg, rel. 1000
29.6 deg, rel. 257
37.4 deg, rel. 251
39.8 deg, rel. 289
42.7 deg, rel. 245

Structural model:
Cell: 12.4211 13.2363 4.2388 Å, 90.00 90.00 90.00°
Fractional positions:
Rb: 0.0000 0.0000 0.0000
Rb: 0.0189 0.2688 0.0000
Rb: 0.2094 0.4919 0.0000
Rb: 0.2906 0.9919 0.0000
Rb: 0.4811 0.7688 0.0000
Rb: 0.5000 0.5000 0.0000
Rb: 0.5189 0.2312 0.0000
Rb: 0.7094 0.0081 0.0000
Rb: 0.7906 0.5081 0.0000
Rb: 0.9811 0.7312 0.0000
Bi: 0.2267 0.7723 0.5000
Bi: 0.2733 0.2723 0.5000
Bi: 0.7267 0.7277 0.5000
Bi: 0.7733 0.2277 0.5000
O: 0.1072 0.8847 0.5000
O: 0.1362 0.3642 0.5000
O: 0.2293 0.7111 0.0000
O: 0.2707 0.2111 0.0000
O: 0.3638 0.8642 0.5000
O: 0.3928 0.3847 0.5000
O: 0.6072 0.6153 0.5000
O: 0.6362 0.1358 0.5000
O: 0.7293 0.7889 0.0000
O: 0.7707 0.2889 0.0000
O: 0.8638 0.6358 0.5000
O: 0.8928 0.1153 0.5000



[4]
Starting from the GGA-PBE geometry in Alexandria, the X-ray powder pattern of Er4ScAs5 was computed for a wavelength of 1.5418 Å.
Intensities are scaled so that the largest is 1000.

Top 10 peaks for 15° ≤ 2θ ≤ 90°, low angle first:
18.3 deg, rel. 52
27.0 deg, rel. 185
31.3 deg, rel. 1000
44.8 deg, rel. 740
53.1 deg, rel. 87
55.6 deg, rel. 257
65.3 deg, rel. 79
74.1 deg, rel. 219
74.2 deg, rel. 107
82.6 deg, rel. 245

Structural model:
Cell: 7.0058 7.0058 7.0058 Å, 99.62 99.62 131.73°
Fractional positions:
Er: 0.0981 0.7001 0.7982
Er: 0.2999 0.0981 0.3980
Er: 0.7001 0.9019 0.6020
Er: 0.9019 0.2999 0.2018
Sc: 0.5000 0.5000 0.0000
As: 0.0000 0.0000 0.0000
As: 0.2062 0.4019 0.6080
As: 0.4019 0.7938 0.1957
As: 0.5981 0.2062 0.8043
As: 0.7938 0.5981 0.3920



[5]
Starting from the GGA-PBE geometry in Alexandria, the X-ray powder pattern of SmDyB was computed for a wavelength of 1.5418 Å.
Intensities are scaled so that the largest is 1000.

Top 10 peaks for 15° ≤ 2θ ≤ 90°, low angle first:
25.1 deg, rel. 661
28.7 deg, rel. 636
28.9 deg, rel. 697
31.0 deg, rel. 947
31.6 deg, rel. 1000
32.2 deg, rel. 943
33.4 deg, rel. 483
33.6 deg, rel. 441
38.0 deg, rel. 499
48.9 deg, rel. 405

Structural model:
Cell: 3.7253 6.0519 6.4133 Å, 88.82 89.94 72.33°
Fractional positions:
Sm: 0.0000 0.0000 0.0000
Sm: 0.2983 0.4670 0.2212
Dy: 0.0295 0.0198 0.5043
Dy: 0.7505 0.5505 0.7106
B: 0.4134 0.2311 0.7486
B: 0.6352 0.7917 0.2816



[6]
Starting from the GGA-PBE geometry in Alexandria, the X-ray powder pattern of Ac4Pr3Mg2 was computed for a wavelength of 1.5418 Å.
Intensities are scaled so that the largest is 1000.

Top 10 peaks for 15° ≤ 2θ ≤ 90°, low angle first:
15.7 deg, rel. 167
21.1 deg, rel. 164
29.2 deg, rel. 1000
29.3 deg, rel. 995
33.3 deg, rel. 374
33.6 deg, rel. 348
34.8 deg, rel. 317
48.0 deg, rel. 272
49.2 deg, rel. 242
57.5 deg, rel. 306

Structural model:
Cell: 6.3877 6.3877 11.2211 Å, 104.80 104.80 49.31°
Fractional positions:
Ac: 0.0018 0.0018 0.1703
Ac: 0.3332 0.3332 0.6101
Ac: 0.6668 0.6668 0.3899
Ac: 0.9982 0.9982 0.8297
Pr: 0.0000 0.0000 0.5000
Pr: 0.3326 0.3326 0.9524
Pr: 0.6674 0.6674 0.0476
Mg: 0.3334 0.3334 0.2759
Mg: 0.6666 0.6666 0.7241



[7]
Starting from the GGA-PBE geometry in Alexandria, the X-ray powder pattern of Ce2NdTc9 was computed for a wavelength of 1.5418 Å.
Intensities are scaled so that the largest is 1000.

Top 10 peaks for 15° ≤ 2θ ≤ 90°, low angle first:
31.9 deg, rel. 368
32.8 deg, rel. 616
34.1 deg, rel. 395
37.6 deg, rel. 1000
39.3 deg, rel. 863
39.9 deg, rel. 873
40.1 deg, rel. 888
41.3 deg, rel. 568
42.1 deg, rel. 356
68.7 deg, rel. 429

Structural model:
Cell: 5.4859 5.4859 9.0936 Å, 104.07 104.07 57.52°
Fractional positions:
Ce: 0.1424 0.1424 0.4290
Ce: 0.8576 0.8576 0.5710
Nd: 0.0000 0.0000 0.0000
Tc: 0.0623 0.5966 0.2426
Tc: 0.3514 0.3514 0.0111
Tc: 0.4034 0.9377 0.7574
Tc: 0.4198 0.4198 0.7423
Tc: 0.5000 0.5000 0.5000
Tc: 0.5802 0.5802 0.2577
Tc: 0.5966 0.0623 0.2426
Tc: 0.6486 0.6486 0.9889
Tc: 0.9377 0.4034 0.7574



[8]
Starting from the GGA-PBE geometry in Alexandria, the X-ray powder pattern of Ac3Si3Pt2 was computed for a wavelength of 1.5418 Å.
Intensities are scaled so that the largest is 1000.

Top 10 peaks for 15° ≤ 2θ ≤ 90°, low angle first:
22.2 deg, rel. 206
24.5 deg, rel. 319
31.0 deg, rel. 1000
31.3 deg, rel. 869
33.5 deg, rel. 265
38.4 deg, rel. 569
41.4 deg, rel. 313
42.1 deg, rel. 244
46.3 deg, rel. 286
70.1 deg, rel. 206

Structural model:
Cell: 6.1657 6.1657 16.0505 Å, 90.00 90.00 138.53°
Fractional positions:
Ac: 0.0598 0.9402 0.7500
Ac: 0.3497 0.6503 0.5926
Ac: 0.3497 0.6503 0.9074
Ac: 0.6503 0.3497 0.0926
Ac: 0.6503 0.3497 0.4074
Ac: 0.9402 0.0598 0.2500
Si: 0.0759 0.9241 0.5510
Si: 0.0759 0.9241 0.9490
Si: 0.2323 0.7677 0.2500
Si: 0.7677 0.2323 0.7500
Si: 0.9241 0.0759 0.0510
Si: 0.9241 0.0759 0.4490
Pt: 0.3634 0.6366 0.1181
Pt: 0.3634 0.6366 0.3819
Pt: 0.6366 0.3634 0.6181
Pt: 0.6366 0.3634 0.8819